Entry 1:
Theoretical XRD peak list of K2Pu2HfTe6 for Cu Kα (weighted mean of Kα1 and Kα2), from a structure optimized by DFT (GGA-PBE).
Lines closer than 0.1° are merged.

The 10 most intense peaks (10° ≤ 2θ ≤ 90°), in order of falling intensity:
2θ 10.5, intensity 1000; 2θ 27.6, intensity 763; 2θ 27.2, intensity 394; 2θ 37.0, intensity 280; 2θ 41.2, intensity 270; 2θ 34.5, intensity 217; 2θ 50.2, intensity 207; 2θ 37.3, intensity 140; 2θ 46.2, intensity 140; 2θ 23.8, intensity 138

Structural model:
```
11
Lattice="3.807 -6.544 0.000 3.807 6.544 0.000 -2.644 0.000 8.399" Properties=species:S:1:pos:R:3 pbc="T T T"
K 3.807 4.295 0.000
K 3.807 -4.295 0.000
Pu 2.485 2.195 4.199
Pu 2.485 -2.195 4.199
Hf -1.322 0.000 4.199
Te -0.113 2.040 5.916
Te 1.073 0.000 2.501
Te -0.113 -2.040 5.916
Te 5.082 2.040 2.483
Te 3.896 0.000 5.898
Te 5.082 -2.040 2.483
```



Entry 2:
Theoretical XRD peak list of SrAc6La4 for Cu Kα (weighted mean of Kα1 and Kα2), from a structure optimized by DFT (GGA-PBE).
Lines closer than 0.1° are merged.

The 10 most intense peaks (10° ≤ 2θ ≤ 90°), in order of falling intensity:
2θ 28.7, intensity 1000; 2θ 30.3, intensity 785; 2θ 32.5, intensity 577; 2θ 26.1, intensity 490; 2θ 56.3, intensity 278; 2θ 50.3, intensity 261; 2θ 45.0, intensity 246; 2θ 23.0, intensity 229; 2θ 56.2, intensity 174; 2θ 24.3, intensity 169

Structural model:
```
11
Lattice="11.810 0.000 0.000 -5.905 10.227 0.000 0.000 0.000 3.923" Properties=species:S:1:pos:R:3 pbc="T T T"
Sr 0.000 0.000 0.000
Ac 0.000 3.844 1.962
Ac -2.576 8.306 1.962
Ac 5.905 0.717 0.000
Ac 3.573 4.755 0.000
Ac 2.576 8.306 1.962
Ac 8.237 4.755 0.000
La 2.863 1.653 1.962
La 0.000 6.818 0.000
La 8.947 1.653 1.962
La 5.905 6.922 1.962
```



Entry 3:
Theoretical XRD peak list of TlAgBiSe2 for Cu Kα (weighted mean of Kα1 and Kα2), from a structure optimized by DFT (GGA-PBE).
Lines closer than 0.1° are merged.

The 10 most intense peaks (10° ≤ 2θ ≤ 90°), in order of falling intensity:
2θ 31.8, intensity 1000; 2θ 30.3, intensity 895; 2θ 41.2, intensity 541; 2θ 23.2, intensity 492; 2θ 23.5, intensity 491; 2θ 29.7, intensity 437; 2θ 44.7, intensity 341; 2θ 32.7, intensity 325; 2θ 48.1, intensity 307; 2θ 25.8, intensity 298

Structural model:
```
10
Lattice="7.595 0.000 0.000 0.000 4.445 0.000 -0.825 0.000 8.752" Properties=species:S:1:pos:R:3 pbc="T T T"
Tl -0.206 0.401 2.188
Tl -0.618 4.044 6.564
Ag 3.797 0.000 0.000
Ag 3.385 0.000 4.376
Bi 3.179 2.185 6.564
Bi 3.591 2.260 2.188
Se 0.998 1.721 8.583
Se 1.411 2.724 4.207
Se 5.360 1.721 4.545
Se 5.772 2.724 0.169
```



Entry 4:
Theoretical XRD peak list of HfTiBe17 for Cu Kα (weighted mean of Kα1 and Kα2), from a structure optimized by DFT (GGA-PBE).
Lines closer than 0.1° are merged.

The 10 most intense peaks (10° ≤ 2θ ≤ 90°), in order of falling intensity:
2θ 16.1, intensity 1000; 2θ 24.0, intensity 739; 2θ 34.7, intensity 718; 2θ 21.5, intensity 519; 2θ 49.5, intensity 372; 2θ 29.0, intensity 291; 2θ 38.0, intensity 281; 2θ 42.2, intensity 256; 2θ 24.7, intensity 236; 2θ 50.6, intensity 231

Structural model:
```
19
Lattice="3.705 2.139 3.608 -3.705 2.139 3.608 0.000 -4.279 3.608" Properties=species:S:1:pos:R:3 pbc="T T T"
Hf 0.000 0.000 0.000
Ti 0.000 0.000 7.298
Be -1.092 -1.864 3.657
Be -2.160 -0.014 3.657
Be -1.855 -1.071 5.573
Be 0.000 0.000 2.619
Be 0.000 -2.145 5.456
Be -1.858 1.073 5.456
Be 1.092 -1.864 3.657
Be -1.068 1.878 3.657
Be 0.000 0.000 4.732
Be -1.820 -1.051 8.956
Be 2.160 -0.014 3.657
Be 1.068 1.878 3.657
Be 1.855 -1.071 5.573
Be 0.000 2.142 5.573
Be 1.858 1.073 5.456
Be 1.820 -1.051 8.956
Be 0.000 2.101 8.956
```



Entry 5:
Theoretical XRD peak list of Y6ZnNi2 for Cu Kα (weighted mean of Kα1 and Kα2), from a structure optimized by DFT (GGA-PBE).
Lines closer than 0.1° are merged.

The 10 most intense peaks (10° ≤ 2θ ≤ 90°), in order of falling intensity:
2θ 32.2, intensity 1000; 2θ 34.6, intensity 756; 2θ 35.1, intensity 601; 2θ 34.4, intensity 529; 2θ 38.5, intensity 436; 2θ 60.2, intensity 319; 2θ 35.5, intensity 256; 2θ 30.1, intensity 249; 2θ 39.7, intensity 224; 2θ 40.8, intensity 203

Structural model:
```
18
Lattice="-4.673 4.810 4.981 4.673 -4.810 4.981 4.673 4.810 -4.981" Properties=species:S:1:pos:R:3 pbc="T T T"
Y 4.673 2.959 -2.600
Y 2.621 1.727 0.000
Y 6.725 1.727 0.000
Y 1.802 4.810 -1.734
Y 2.871 0.000 3.247
Y 0.000 1.851 2.381
Y 4.673 2.959 2.600
Y 1.802 4.810 1.734
Y 2.871 0.000 6.715
Y -2.052 3.083 4.981
Y 2.052 3.083 4.981
Y 0.000 1.851 7.581
Zn 0.000 0.000 0.000
Zn 0.000 0.000 4.981
Ni 4.673 0.000 1.180
Ni 0.000 3.330 0.000
Ni 0.000 6.291 0.000
Ni 0.000 4.810 3.801
```



Repeat the fifth record exactly.
Theoretical XRD peak list of Y6ZnNi2 for Cu Kα (weighted mean of Kα1 and Kα2), from a structure optimized by DFT (GGA-PBE).
Lines closer than 0.1° are merged.

The 10 most intense peaks (10° ≤ 2θ ≤ 90°), in order of falling intensity:
2θ 32.2, intensity 1000; 2θ 34.6, intensity 756; 2θ 35.1, intensity 601; 2θ 34.4, intensity 529; 2θ 38.5, intensity 436; 2θ 60.2, intensity 319; 2θ 35.5, intensity 256; 2θ 30.1, intensity 249; 2θ 39.7, intensity 224; 2θ 40.8, intensity 203

Structural model:
```
18
Lattice="-4.673 4.810 4.981 4.673 -4.810 4.981 4.673 4.810 -4.981" Properties=species:S:1:pos:R:3 pbc="T T T"
Y 4.673 2.959 -2.600
Y 2.621 1.727 0.000
Y 6.725 1.727 0.000
Y 1.802 4.810 -1.734
Y 2.871 0.000 3.247
Y 0.000 1.851 2.381
Y 4.673 2.959 2.600
Y 1.802 4.810 1.734
Y 2.871 0.000 6.715
Y -2.052 3.083 4.981
Y 2.052 3.083 4.981
Y 0.000 1.851 7.581
Zn 0.000 0.000 0.000
Zn 0.000 0.000 4.981
Ni 4.673 0.000 1.180
Ni 0.000 3.330 0.000
Ni 0.000 6.291 0.000
Ni 0.000 4.810 3.801
```